# 1
Structure and calculated PXRD pattern of Co2P3H11N2O9 (DFT lattice parameters and positions (GGA+U); Cu Kα (λ = 1.5418 Å)).

Main lines, sorted by position (5° ≤ 2θ ≤ 70°):
d/Å, two_theta, I_rel
9.501, 9.31, 100.0
4.750, 18.68, 22.6
4.567, 19.44, 67.4
4.216, 21.07, 29.0
3.343, 26.67, 66.6
2.956, 30.23, 82.7
2.716, 32.98, 72.5
2.062, 43.91, 37.5
1.778, 51.40, 30.9
1.358, 69.18, 24.4

Crystal structure
```
data_Co2P3H11N2O9
_space_group_name_H-M_alt 'P 3 1 c'
_space_group_IT_number 159
_cell_length_a 5.4324
_cell_length_b 5.4324
_cell_length_c 19.0017
_cell_angle_alpha 90.00
_cell_angle_beta 90.00
_cell_angle_gamma 120.00
loop_
_space_group_symop_operation_xyz
'x,y,z'
'-y,x-y,z'
'-x+y,-x,z'
'y,x,z+1/2'
'x-y,-y,z+1/2'
'-x,-x+y,z+1/2'
loop_
_atom_site_label
_atom_site_type_symbol
_atom_site_fract_x
_atom_site_fract_y
_atom_site_fract_z
Co1 Co 0.3333 0.6667 0.0000
Co2 Co 0.3333 0.6667 0.1564
P1 P 0.0000 0.0000 0.2019
P2 P 0.0000 0.0000 0.4603
P3 P 0.3333 0.6667 0.5972
H1 H 0.0000 0.0000 0.0344
H2 H 0.0000 0.0000 0.1278
H3 H 0.2162 0.4617 0.7815
H4 H 0.2156 0.7541 0.3851
H5 H 0.3333 0.6667 0.3113
H6 H 0.3333 0.6667 0.6709
H7 H 0.3333 0.6667 0.8552
N1 N 0.3333 0.6667 0.3657
N2 N 0.3333 0.6667 0.8008
O1 O 0.0165 0.5084 0.5767
O2 O 0.1478 0.8358 0.9346
O3 O 0.1499 0.3104 0.2267
```



# 2
Structure and calculated PXRD pattern of Li8Mn5Fe3B8O24 (DFT lattice parameters and positions (GGA+U); Cu Kα (λ = 1.5418 Å)).

Main lines, sorted by position (5° ≤ 2θ ≤ 70°):
d/Å, two_theta, I_rel
4.532, 19.59, 67.1
4.156, 21.38, 37.3
4.121, 21.56, 61.8
3.465, 25.71, 23.1
3.380, 26.37, 28.7
2.618, 34.25, 86.2
2.611, 34.35, 100.0
2.230, 40.46, 45.2
1.880, 48.42, 22.3
1.511, 61.37, 22.1

Crystal structure
```
data_Li8Mn5Fe3B8O24
_space_group_name_H-M_alt 'P 1'
_space_group_IT_number 1
_cell_length_a 5.231
_cell_length_b 5.237
_cell_length_c 20.898
_cell_angle_alpha 91.20
_cell_angle_beta 90.60
_cell_angle_gamma 119.86
loop_
_space_group_symop_operation_xyz
'x,y,z'
loop_
_atom_site_label
_atom_site_type_symbol
_atom_site_fract_x
_atom_site_fract_y
_atom_site_fract_z
Li1 Li 0.000 0.000 0.000
Li2 Li 0.000 0.001 0.501
Li3 Li 0.025 0.976 0.751
Li4 Li 0.027 0.975 0.251
Li5 Li 0.329 0.316 0.626
Li6 Li 0.330 0.316 0.126
Li7 Li 0.342 0.304 0.876
Li8 Li 0.344 0.305 0.376
Mn1 Mn 0.353 0.651 0.269
Mn2 Mn 0.671 0.979 0.644
Mn3 Mn 0.675 0.983 0.143
Mn4 Mn 0.678 0.332 0.017
Mn5 Mn 0.678 0.332 0.517
Fe1 Fe 0.003 0.653 0.393
Fe2 Fe 0.014 0.642 0.892
Fe3 Fe 0.358 0.652 0.769
B1 B 0.011 0.647 0.648
B2 B 0.013 0.649 0.147
B3 B 0.337 0.656 0.021
B4 B 0.337 0.657 0.521
B5 B 0.673 0.984 0.397
B6 B 0.678 0.988 0.896
B7 B 0.679 0.315 0.772
B8 B 0.680 0.312 0.273
O1 O 0.036 0.922 0.655
O2 O 0.037 0.923 0.154
O3 O 0.100 0.687 0.500
O4 O 0.101 0.688 0.000
O5 O 0.255 0.615 0.664
O6 O 0.255 0.616 0.162
O7 O 0.308 0.381 0.028
O8 O 0.308 0.381 0.529
O9 O 0.404 0.283 0.280
O10 O 0.404 0.293 0.779
O11 O 0.424 0.721 0.377
O12 O 0.426 0.725 0.876
O13 O 0.608 0.908 0.537
O14 O 0.609 0.908 0.036
O15 O 0.652 0.235 0.411
O16 O 0.654 0.239 0.909
O17 O 0.697 0.068 0.754
O18 O 0.711 0.075 0.252
O19 O 0.748 0.404 0.626
O20 O 0.748 0.406 0.125
O21 O 0.930 0.584 0.288
O22 O 0.934 0.585 0.786
O23 O 0.946 0.002 0.403
O24 O 0.948 0.003 0.903
```



# 3
Structure and calculated PXRD pattern of LiCdCoF6 (DFT lattice parameters and positions (GGA+U); Cu Kα (λ = 1.5418 Å)).

Main lines, sorted by position (5° ≤ 2θ ≤ 70°):
d/Å, two_theta, I_rel
4.417, 20.10, 22.0
4.015, 22.14, 24.9
3.256, 27.39, 100.0
2.550, 35.19, 17.8
2.254, 40.00, 19.2
2.115, 42.75, 10.7
2.008, 45.16, 22.8
1.751, 52.23, 37.4
1.577, 58.51, 21.8
1.472, 63.15, 13.7

Crystal structure
```
data_LiCdCoF6
_space_group_name_H-M_alt 'P -3 1 c'
_space_group_IT_number 163
_space_group_name_Hall '-P 3 2c'
_cell_length_a 5.1003
_cell_length_b 5.1003
_cell_length_c 9.6371
_cell_angle_alpha 90.00
_cell_angle_beta 90.00
_cell_angle_gamma 120.00
loop_
_atom_site_label
_atom_site_type_symbol
_atom_site_fract_x
_atom_site_fract_y
_atom_site_fract_z
Li1 Li 0.3333 0.6667 0.2500
Cd1 Cd 0.0000 0.0000 0.0000
Co1 Co 0.3333 0.6667 0.7500
F1 F 0.0239 0.3717 0.6403
```



# 4
Structure and calculated PXRD pattern of Li3MnPCO7 (DFT lattice parameters and positions (GGA+U); Cu Kα (λ = 1.5418 Å)).

Main lines, sorted by position (5° ≤ 2θ ≤ 70°):
d/Å, two_theta, I_rel
8.577, 10.31, 41.2
5.093, 17.41, 98.7
4.017, 22.13, 54.1
3.646, 24.41, 36.1
3.576, 24.90, 34.4
3.476, 25.62, 53.9
2.585, 34.71, 100.0
2.453, 36.64, 28.9
1.788, 51.08, 25.7
1.738, 52.66, 26.0

Crystal structure
```
data_Li3MnPCO7
_space_group_name_H-M_alt 'P 1 21/c 1'
_space_group_IT_number 14
_cell_length_a 9.567
_cell_length_b 6.479
_cell_length_c 9.841
_cell_angle_alpha 90.00
_cell_angle_beta 116.30
_cell_angle_gamma 90.00
loop_
_space_group_symop_operation_xyz
'x,y,z'
'-x,-y,-z'
'-x,y+1/2,-z+1/2'
'x,-y+1/2,z+1/2'
loop_
_atom_site_label
_atom_site_type_symbol
_atom_site_fract_x
_atom_site_fract_y
_atom_site_fract_z
Li1 Li 0.103 0.249 0.438
Li2 Li 0.286 0.012 0.760
Li3 Li 0.353 0.746 0.066
Mn1 Mn 0.269 0.002 0.264
P1 P 0.407 0.248 0.064
C1 C 0.042 0.748 0.873
O1 O 0.070 0.740 0.512
O2 O 0.104 0.250 0.235
O3 O 0.153 0.735 0.832
O4 O 0.310 0.056 0.068
O5 O 0.310 0.063 0.566
O6 O 0.423 0.250 0.412
O7 O 0.426 0.744 0.303
```